The following is a simulated powder diffractogram of Nd7BiS5. It was derived from a crystal structure in Alexandria, relaxed with GGA-PBE, using Cu Kα (weighted mean of Kα1 and Kα2).
Kinematic intensities with the Lorentz-polarization factor, no thermal factor.

Cell and atoms:
```
data_Nd7BiS5
_chemical_formula_sum 'Nd14 Bi2 S10'
_cell_length_a 6.9929
_cell_length_b 6.9929
_cell_length_c 24.5378
_cell_angle_alpha 90.00
_cell_angle_beta 90.00
_cell_angle_gamma 145.37
_symmetry_space_group_name_H-M 'P 1'
_symmetry_Int_Tables_number 1
loop_
_symmetry_equiv_pos_as_xyz
'x,y,z'
loop_
_atom_site_label
_atom_site_fract_x
_atom_site_fract_y
_atom_site_fract_z
Nd1 0.0182 0.9818 0.7500
Nd2 0.1361 0.8639 0.0371
Nd3 0.1361 0.8639 0.4629
Nd4 0.3237 0.6763 0.6708
Nd5 0.3237 0.6763 0.8292
Nd6 0.4086 0.5914 0.1096
Nd7 0.4086 0.5914 0.3904
Nd8 0.5914 0.4086 0.6096
Nd9 0.5914 0.4086 0.8904
Nd10 0.6763 0.3237 0.1708
Nd11 0.6763 0.3237 0.3292
Nd12 0.8639 0.1361 0.5371
Nd13 0.8639 0.1361 0.9629
Nd14 0.9818 0.0182 0.2500
Bi1 0.2994 0.7006 0.2500
Bi2 0.7006 0.2994 0.7500
S1 0.0436 0.9564 0.1404
S2 0.0436 0.9564 0.3596
S3 0.2257 0.7743 0.5690
S4 0.2257 0.7743 0.9310
S5 0.5000 0.5000 0.0000
S6 0.5000 0.5000 0.5000
S7 0.7743 0.2257 0.0690
S8 0.7743 0.2257 0.4310
S9 0.9564 0.0436 0.6404
S10 0.9564 0.0436 0.8596
```

Principal peaks in the range 15 to 90 degrees two-theta, low angle first:
2theta  Rel. int.
26.73  40
28.77  90
28.91  55
30.29  100
31.39  63
34.11  19
40.11  21
43.31  22
43.48  34
44.33  24
52.97  38
54.05  23

The following is a simulated powder diffractogram of Nd2BiSb3. It was derived from a crystal structure in Alexandria, relaxed with GGA-PBE, using Cu Kα (weighted mean of Kα1 and Kα2).
Kinematic intensities with the Lorentz-polarization factor, no thermal factor.

Cell and atoms:
```
data_Nd2BiSb3
_chemical_formula_sum 'Nd2 Bi1 Sb3'
_cell_length_a 7.8907
_cell_length_b 7.8907
_cell_length_c 7.8907
_cell_angle_alpha 146.65
_cell_angle_beta 131.94
_cell_angle_gamma 59.75
_symmetry_space_group_name_H-M 'P 1'
_symmetry_Int_Tables_number 1
loop_
_symmetry_equiv_pos_as_xyz
'x,y,z'
loop_
_atom_site_label
_atom_site_fract_x
_atom_site_fract_y
_atom_site_fract_z
Nd1 0.1674 0.1674 0.0000
Nd2 0.8326 0.8326 0.0000
Bi1 0.5000 0.5000 0.0000
Sb1 0.0000 0.5000 0.5000
Sb2 0.3337 0.8337 0.5000
Sb3 0.6663 0.1663 0.5000
```

Principal peaks in the range 15 to 90 degrees two-theta, low angle first:
2theta  Rel. int.
27.76  100
39.51  13
39.67  52
39.81  13
48.98  14
49.23  14
57.35  13
64.67  6
64.89  24
65.09  6
71.78  9
72.15  13

The following is a simulated powder diffractogram of Nd3BiSb2. It was derived from a crystal structure in Alexandria, relaxed with GGA-PBE, using Cu Kα (weighted mean of Kα1 and Kα2).
Kinematic intensities with the Lorentz-polarization factor, no thermal factor.

Cell and atoms:
```
data_Nd3BiSb2
_chemical_formula_sum 'Nd3 Bi1 Sb2'
_cell_length_a 7.8861
_cell_length_b 7.8861
_cell_length_c 7.8861
_cell_angle_alpha 146.44
_cell_angle_beta 131.86
_cell_angle_gamma 59.96
_symmetry_space_group_name_H-M 'P 1'
_symmetry_Int_Tables_number 1
loop_
_symmetry_equiv_pos_as_xyz
'x,y,z'
loop_
_atom_site_label
_atom_site_fract_x
_atom_site_fract_y
_atom_site_fract_z
Nd1 0.0000 0.0000 0.0000
Nd2 0.3297 0.3297 0.0000
Nd3 0.6703 0.6703 0.0000
Bi1 0.5000 0.0000 0.5000
Sb1 0.1656 0.6656 0.5000
Sb2 0.8344 0.3344 0.5000
```

Principal peaks in the range 15 to 90 degrees two-theta, low angle first:
2theta  Rel. int.
15.22  2
20.56  1
27.32  2
27.71  100
34.77  1
35.70  1
39.60  77
49.02  28
57.24  13
64.76  36
71.84  27
85.28  9

The following is a simulated powder diffractogram of NdSmBiSb. It was derived from a crystal structure in Alexandria, relaxed with GGA-PBE, using Cu Kα (weighted mean of Kα1 and Kα2).
Kinematic intensities with the Lorentz-polarization factor, no thermal factor.

Cell and atoms:
```
data_NdSmBiSb
_chemical_formula_sum 'Nd1 Sm1 Bi1 Sb1'
_cell_length_a 7.8652
_cell_length_b 7.8652
_cell_length_c 7.8652
_cell_angle_alpha 33.55
_cell_angle_beta 33.55
_cell_angle_gamma 33.55
_symmetry_space_group_name_H-M 'P 1'
_symmetry_Int_Tables_number 1
loop_
_symmetry_equiv_pos_as_xyz
'x,y,z'
loop_
_atom_site_label
_atom_site_fract_x
_atom_site_fract_y
_atom_site_fract_z
Nd1 0.0000 0.0000 0.0000
Sm1 0.4961 0.4961 0.4961
Bi1 0.2470 0.2470 0.2470
Sb1 0.7492 0.7492 0.7492
```

Principal peaks in the range 15 to 90 degrees two-theta, low angle first:
2theta  Rel. int.
22.97  3
27.79  100
30.34  2
36.35  1
39.70  78
41.61  1
49.15  28
54.92  1
57.40  13
64.95  37
72.06  27
85.56  9

The following is a simulated powder diffractogram of NdScBi3. It was derived from a crystal structure in Alexandria, relaxed with GGA-PBE, using Cu Kα (weighted mean of Kα1 and Kα2).
Kinematic intensities with the Lorentz-polarization factor, no thermal factor.

Cell and atoms:
```
data_NdScBi3
_chemical_formula_sum 'Nd4 Sc4 Bi12'
_cell_length_a 13.8359
_cell_length_b 6.4791
_cell_length_c 6.7060
_cell_angle_alpha 90.00
_cell_angle_beta 90.00
_cell_angle_gamma 90.00
_symmetry_space_group_name_H-M 'P 1'
_symmetry_Int_Tables_number 1
loop_
_symmetry_equiv_pos_as_xyz
'x,y,z'
loop_
_atom_site_label
_atom_site_fract_x
_atom_site_fract_y
_atom_site_fract_z
Nd1 0.1821 0.0124 0.2500
Nd2 0.1821 0.4876 0.7500
Nd3 0.8179 0.5124 0.2500
Nd4 0.8179 0.9876 0.7500
Sc1 0.4018 0.7500 0.0000
Sc2 0.4018 0.7500 0.5000
Sc3 0.5982 0.2500 0.0000
Sc4 0.5982 0.2500 0.5000
Bi1 0.0034 0.7500 0.0000
Bi2 0.0034 0.7500 0.5000
Bi3 0.2562 0.5025 0.2500
Bi4 0.2562 0.9975 0.7500
Bi5 0.4260 0.1305 0.2500
Bi6 0.4260 0.3695 0.7500
Bi7 0.5740 0.6305 0.2500
Bi8 0.5740 0.8695 0.7500
Bi9 0.7438 0.0025 0.2500
Bi10 0.7438 0.4975 0.7500
Bi11 0.9966 0.2500 0.0000
Bi12 0.9966 0.2500 0.5000
```

Principal peaks in the range 15 to 90 degrees two-theta, low angle first:
2theta  Rel. int.
27.21  86
27.37  42
29.61  61
30.47  100
30.67  27
32.23  59
32.35  34
33.03  39
33.81  29
38.65  65
47.03  29
65.39  35

The following is a simulated powder diffractogram of NdBiSe. It was derived from a crystal structure in Alexandria, relaxed with GGA-PBE, using Cu Kα (weighted mean of Kα1 and Kα2).
Kinematic intensities with the Lorentz-polarization factor, no thermal factor.

Cell and atoms:
```
data_NdBiSe
_chemical_formula_sum 'Nd2 Bi2 Se2'
_cell_length_a 9.7739
_cell_length_b 9.7739
_cell_length_c 9.7739
_cell_angle_alpha 154.37
_cell_angle_beta 154.37
_cell_angle_gamma 36.57
_symmetry_space_group_name_H-M 'P 1'
_symmetry_Int_Tables_number 1
loop_
_symmetry_equiv_pos_as_xyz
'x,y,z'
loop_
_atom_site_label
_atom_site_fract_x
_atom_site_fract_y
_atom_site_fract_z
Nd1 0.1534 0.1534 0.0000
Nd2 0.8466 0.8466 0.0000
Bi1 0.0000 0.5000 0.5000
Bi2 0.5000 0.0000 0.5000
Se1 0.3143 0.3143 0.0000
Se2 0.6857 0.6857 0.0000
```

Principal peaks in the range 15 to 90 degrees two-theta, low angle first:
2theta  Rel. int.
28.86  47
30.71  100
35.08  74
39.85  12
41.65  42
49.25  22
51.47  38
58.09  16
60.37  14
68.28  16
69.26  25
71.78  19